The following is a simulated powder diffractogram of AcV2O8. It was derived from a DFT-relaxed cell (PBE+U, Alexandria), using Cu Ka.
Kinematic intensities with the Lorentz-polarization factor, no thermal factor.

Main lines, sorted by position (2θ from 10° to 90°):
| Position (°2θ) | I_rel |
| --- | --- |
| 20.21 | 100 |
| 28.88 | 44 |
| 29.01 | 11 |
| 30.56 | 80 |
| 41.39 | 17 |
| 43.66 | 29 |
| 48.70 | 55 |
| 52.40 | 17 |
| 55.25 | 13 |
| 57.64 | 13 |
| 63.57 | 10 |
| 64.46 | 18 |

```
AcV2O8
1.0
-2.351 2.351 6.155
2.351 -2.351 6.155
2.351 2.351 -6.155
Ac V O
1 2 8
Cartesian
0.000 0.000 0.000 Ac
2.351 0.000 3.078 V
0.000 2.351 3.078 V
1.190 1.190 -1.912 O
1.162 -1.162 4.244 O
1.190 1.190 1.912 O
1.162 -1.162 8.067 O
-1.162 1.162 4.244 O
1.162 1.162 4.244 O
-1.162 1.162 8.067 O
1.162 1.162 8.067 O
```